# Sc3Ir
Calculated X-ray diffraction stick pattern, a wavelength of 1.5418 Å. Input: a DFT-relaxed cell (GGA-PBE, Alexandria).
Kinematic intensities with the Lorentz-polarization factor, no thermal factor.

Cell and atoms:
```
data_Sc3Ir
_chemical_formula_sum 'Sc24 Ir8'
_cell_length_a 10.7948
_cell_length_b 10.7948
_cell_length_c 5.8347
_cell_angle_alpha 90.00
_cell_angle_beta 90.00
_cell_angle_gamma 90.00
_symmetry_space_group_name_H-M 'P 42/n'
_symmetry_Int_Tables_number 86
loop_
_symmetry_equiv_pos_as_xyz
'x,y,z'
'-x,-y,-z'
'-y,x+1/2,z+1/2'
'y,-x+1/2,-z+1/2'
'-x+1/2,-y+1/2,z'
'x+1/2,y+1/2,-z'
'y+1/2,-x,z+1/2'
'-y+1/2,x,-z+1/2'
loop_
_atom_site_label
_atom_site_type_symbol
_atom_site_fract_x
_atom_site_fract_y
_atom_site_fract_z
Sc1 Sc 0.0355 0.5927 0.2110
Sc2 Sc 0.1131 0.1956 0.0282
Sc3 Sc 0.1177 0.6628 0.6985
Ir1 Ir 0.0506 0.1881 0.5193
```

Principal peaks in the range 2θ = 5–70°, low angle first:
2θ/deg  d (Å)  Rel. int.
11.59  7.633  37.6
19.15  4.636  34.1
22.44  3.962  100.0
23.31  3.817  30.0
26.10  3.414  41.2
32.87  2.725  28.3
37.25  2.414  57.0
38.60  2.332  28.1
40.68  2.218  75.5
45.58  1.990  33.7